(1)
This entry pairs a crystal structure of Cs3Pb2Br8 with its theoretical powder diffraction line list. Radiation: copper Kα. Structure: a PBE-relaxed structure.
Lines closer than 0.1° are merged.

Peak list (12 most intense, 10° ≤ 2θ ≤ 90°, in order of rising 2θ)
2θ/deg  Rel. int.  hkl
18.86  44  0 1 5
21.16  100  1 1 0
25.17  24  2 0 2
28.49  61  2 0 5
31.48  49  1 0 10
35.76  36  1 2 5
37.10  22  3 0 0
40.61  22  2 0 11
43.10  45  2 2 0
44.12  23  2 1 10
49.31  21  1 1 15
58.14  21  4 1 0

Structure:
Lattice parameters (Å, degrees): 8.3955 8.3955 30.8721 90.00 90.00 120.00
Space group R-3m (No. 166, hexagonal axes)
Symmetry-distinct sites (fractional):
Cs (0.0000, 0.0000, 0.0000) x3
Cs (0.0000, 0.0000, 0.2033) x6
Pb (0.0000, 0.0000, 0.4083) x6
Br (0.0000, 0.0000, 0.3175) x6
Br (0.0366, 0.5183, 0.7701) x18

---

(2)
This entry pairs a crystal structure of AcTm8Pb6 with its theoretical powder diffraction line list. Radiation: copper Kα. Structure: a PBE-relaxed structure.
Lines closer than 0.1° are merged.

Peak list (12 most intense, 10° ≤ 2θ ≤ 90°, in order of rising 2θ)
2θ/deg  Rel. int.  hkl
19.40  16  1 1 0
23.69  28  2 -1 3
33.57  91  2 -1 6
33.94  100  3 0 0
43.98  17  3 0 6
48.49  32  2 2 6
59.80  17  1 1 12
60.50  33  5 -1 6
60.73  18  3 3 0
71.43  11  6 0 0
80.66  14  4 1 12
81.27  14  5 2 6

Structure:
Lattice parameters (Å, degrees): 9.1501 9.1501 19.7203 90.00 90.00 120.00
Space group R-3 (No. 148, hexagonal axes)
Symmetry-distinct sites (fractional):
Ac (0.0000, 0.0000, 0.0000) x3
Tm (0.0000, 0.0000, 0.3326) x6
Tm (0.0011, 0.6736, 0.1061) x18
Pb (0.9999, 0.3468, 0.0699) x18

---

(3)
This entry pairs a crystal structure of BaY2 with its theoretical powder diffraction line list. Radiation: copper Kα. Structure: a PBE-relaxed structure.
Lines closer than 0.1° are merged.

Peak list (12 most intense, 10° ≤ 2θ ≤ 90°, in order of rising 2θ)
2θ/deg  Rel. int.  hkl
28.64  30  0 0 3
28.89  100  0 1 1
33.40  63  1 0 2
47.80  24  0 1 4
48.13  23  1 1 0
56.67  11  1 0 5
56.96  25  1 1 3
57.11  14  2 0 1
59.85  11  0 2 2
77.84  11  1 2 1
80.22  10  2 1 2
89.62  8  1 2 4

Structure:
Lattice parameters (Å, degrees): 3.7814 3.7814 9.3519 90.00 90.00 120.00
Space group P-3m1 (No. 164)
Symmetry-distinct sites (fractional):
Ba (0.0000, 0.0000, 0.0000) x1
Y (0.3333, 0.6667, 0.3544) x2

---

(4)
This entry pairs a crystal structure of Tb3Nd6In with its theoretical powder diffraction line list. Radiation: copper Kα. Structure: a PBE-relaxed structure.
Lines closer than 0.1° are merged.

Peak list (12 most intense, 10° ≤ 2θ ≤ 90°, in order of rising 2θ)
2θ/deg  Rel. int.  hkl
28.54  64  2 4 1
28.98  26  0 2 2
29.26  48  0 6 1
30.85  100  3 1 1
31.46  60  1 7 0
31.92  50  1 3 2
32.67  46  0 4 2
33.22  70  3 3 1
34.55  37  2 6 1
41.71  21  2 8 1
55.99  37  6 0 0
56.29  20  5 3 2

Structure:
Lattice parameters (Å, degrees): 9.8554 20.7887 6.4516 90.00 90.00 90.00
Space group Cmc2_1 (No. 36)
Symmetry-distinct sites (fractional):
Tb (0.0000, 0.0865, 0.0000) x4
Tb (0.1681, 0.3721, 0.4016) x8
Nd (0.0000, 0.2118, 0.7009) x4
Nd (0.0000, 0.4824, 0.7262) x4
Nd (0.1827, 0.0574, 0.4751) x8
Nd (0.1854, 0.2175, 0.2547) x8
In (0.0000, 0.3460, 0.9686) x4

---

(5)
This entry pairs a crystal structure of LaNd6Se8 with its theoretical powder diffraction line list. Radiation: copper Kα. Structure: a PBE-relaxed structure.
Lines closer than 0.1° are merged.

Peak list (12 most intense, 10° ≤ 2θ ≤ 90°, in order of rising 2θ)
2θ/deg  Rel. int.  hkl
12.83  5  1 1 1
14.82  5  2 0 0
21.02  4  2 2 0
24.71  5  3 1 1
25.82  9  2 2 2
29.90  100  4 0 0
42.80  75  4 4 0
50.66  5  6 2 2
53.09  26  4 4 4
62.13  12  8 0 0
70.47  33  8 4 0
78.39  25  8 4 4

Structure:
Lattice parameters (Å, degrees): 11.9519 11.9519 11.9519 90.00 90.00 90.00
Space group Fm-3m (No. 225)
Symmetry-distinct sites (fractional):
La (0.0000, 0.0000, 0.0000) x4
Nd (0.0000, 0.2500, 0.2500) x24
Se (0.0000, 0.0000, 0.2551) x24
Se (0.2500, 0.2500, 0.2500) x8

---

(6)
This entry pairs a crystal structure of RbTl2S10 with its theoretical powder diffraction line list. Radiation: copper Kα. Structure: a PBE-relaxed structure.
Lines closer than 0.1° are merged.

Peak list (12 most intense, 10° ≤ 2θ ≤ 90°, in order of rising 2θ)
2θ/deg  Rel. int.  hkl
12.02  76  0 4 0
16.80  53  0 2 1
23.02  100  1 5 0
23.66  63  1 3 -1
24.01  36  0 6 1
25.14  31  1 1 1
26.59  31  1 3 1
28.95  49  0 8 1
32.48  35  1 9 0
32.93  29  1 7 1
33.97  32  0 4 2
37.17  46  2 4 0

Structure:
Lattice parameters (Å, degrees): 5.1633 29.4439 5.7034 90.00 97.56 90.00
Space group P2_1/c (No. 14)
Symmetry-distinct sites (fractional):
Rb (0.0000, 0.0000, 0.0000) x2
Tl (0.2625, 0.1436, 0.6966) x4
S (0.0903, 0.7225, 0.4241) x4
S (0.2317, 0.5870, 0.8594) x4
S (0.2848, 0.7231, 0.1482) x4
S (0.2993, 0.0977, 0.1895) x4
S (0.3066, 0.5902, 0.2210) x4

---

(7)
This entry pairs a crystal structure of Rb2Hg7Au with its theoretical powder diffraction line list. Radiation: copper Kα. Structure: a PBE-relaxed structure.
Lines closer than 0.1° are merged.

Peak list (12 most intense, 10° ≤ 2θ ≤ 90°, in order of rising 2θ)
2θ/deg  Rel. int.  hkl
14.51  40  0 0 2
18.68  43  1 0 1
27.93  49  1 0 3
28.51  100  1 1 2
34.79  93  2 0 0
38.46  91  1 1 4
40.89  22  1 0 5
45.19  27  2 1 3
50.02  34  2 2 0
58.59  28  3 1 2
64.82  40  3 1 4
71.89  21  2 0 8

Structure:
Lattice parameters (Å, degrees): 5.1574 5.1574 12.2090 90.00 90.00 90.00
Space group P-4m2 (No. 115)
Symmetry-distinct sites (fractional):
Rb (0.0000, 0.5000, 0.2340) x2
Hg (0.0000, 0.0000, 0.0000) x1
Hg (0.0000, 0.0000, 0.5000) x1
Hg (0.0000, 0.5000, 0.6381) x2
Hg (0.0000, 0.5000, 0.8808) x2
Hg (0.5000, 0.5000, 0.5000) x1
Au (0.5000, 0.5000, 0.0000) x1

---

(8)
This entry pairs a crystal structure of Pm2ScAl with its theoretical powder diffraction line list. Radiation: copper Kα. Structure: a PBE-relaxed structure.
Lines closer than 0.1° are merged.

Peak list (12 most intense, 10° ≤ 2θ ≤ 90°, in order of rising 2θ)
2θ/deg  Rel. int.  hkl
14.01  21  1 0 0
22.58  100  1 1 0
28.24  17  2 0 0
32.27  63  1 1 -2
32.55  75  0 1 2
33.33  43  2 0 -2
33.48  80  2 1 0
34.15  42  1 0 2
35.66  47  0 2 0
49.60  28  2 2 -2
50.20  28  1 2 2
61.48  20  3 1 2

Structure:
Lattice parameters (Å, degrees): 6.5894 5.0361 6.8468 90.00 106.44 90.00
Space group P2_1/m (No. 11)
Symmetry-distinct sites (fractional):
Pm (0.1620, 0.2500, 0.4121) x2
Pm (0.1857, 0.2500, 0.9112) x2
Sc (0.3854, 0.7500, 0.2272) x2
Al (0.3764, 0.7500, 0.7088) x2

---

(9)
This entry pairs a crystal structure of La4PmNd2Ho with its theoretical powder diffraction line list. Radiation: copper Kα. Structure: a PBE-relaxed structure.
Lines closer than 0.1° are merged.

Peak list (12 most intense, 10° ≤ 2θ ≤ 90°, in order of rising 2θ)
2θ/deg  Rel. int.  hkl
29.68  100  1 1 2
34.05  17  0 2 0
34.27  17  2 0 0
34.89  16  0 0 4
49.09  12  2 2 0
49.55  12  0 2 4
49.71  12  2 0 4
58.28  15  1 3 2
58.57  15  3 1 2
59.38  14  1 1 6
61.63  12  2 2 4
79.72  6  3 3 2

Structure:
Lattice parameters (Å, degrees): 5.2325 5.2654 10.2871 90.00 90.06 90.00
Space group P2/m (No. 10)
Symmetry-distinct sites (fractional):
La (0.0002, 0.0000, 0.2480) x2
La (0.4993, 0.5000, 0.7513) x2
Pm (0.0000, 0.5000, 0.5000) x1
Nd (0.0000, 0.5000, 0.0000) x1
Nd (0.5000, 0.0000, 0.5000) x1
Ho (0.5000, 0.0000, 0.0000) x1

---

(10)
This entry pairs a crystal structure of Pm3Pr3In2 with its theoretical powder diffraction line list. Radiation: copper Kα. Structure: a PBE-relaxed structure.
Lines closer than 0.1° are merged.

Peak list (12 most intense, 10° ≤ 2θ ≤ 90°, in order of rising 2θ)
2θ/deg  Rel. int.  hkl
31.05  100  1 1 2
35.88  17  0 0 4
35.99  17  0 2 0
36.13  17  2 0 0
51.73  12  0 2 4
51.88  24  2 2 0
61.50  14  1 1 6
61.64  14  1 3 2
61.83  14  3 1 2
64.72  12  2 2 4
84.52  6  1 3 6
84.69  6  3 1 6

Structure:
Lattice parameters (Å, degrees): 4.9715 4.9909 10.0110 90.00 90.00 90.00
Space group Pmmm (No. 47)
Symmetry-distinct sites (fractional):
Pm (0.0000, 0.0000, 0.0000) x1
Pm (0.0000, 0.5000, 0.2492) x2
Pr (0.0000, 0.0000, 0.5000) x1
Pr (0.5000, 0.5000, 0.0000) x1
Pr (0.5000, 0.5000, 0.5000) x1
In (0.5000, 0.0000, 0.2481) x2

---

(11)
This entry pairs a crystal structure of KMgRu with its theoretical powder diffraction line list. Radiation: copper Kα. Structure: a PBE-relaxed structure.
Lines closer than 0.1° are merged.

Peak list (12 most intense, 10° ≤ 2θ ≤ 90°, in order of rising 2θ)
2θ/deg  Rel. int.  hkl
14.59  100  0 0 2
21.59  63  0 1 1
29.42  49  0 0 4
30.08  87  0 1 3
33.08  21  1 0 1
38.39  71  1 1 0
39.34  40  1 0 3
41.28  59  0 2 0
49.09  44  1 1 4
51.50  19  0 2 4
57.11  20  0 1 7
58.34  24  1 2 3

Structure:
Lattice parameters (Å, degrees): 2.7777 4.3740 12.1444 90.00 90.00 90.00
Space group Imm2 (No. 44)
Symmetry-distinct sites (fractional):
K (0.0000, 0.0000, 0.0000) x2
Mg (0.0000, 0.0000, 0.7261) x2
Ru (0.0000, 0.0000, 0.2901) x2

---

(12)
This entry pairs a crystal structure of Nd7GaS5 with its theoretical powder diffraction line list. Radiation: copper Kα. Structure: a PBE-relaxed structure.
Lines closer than 0.1° are merged.

Peak list (12 most intense, 10° ≤ 2θ ≤ 90°, in order of rising 2θ)
2θ/deg  Rel. int.  hkl
26.69  23  0 1 2
27.23  50  1 4 0
28.88  100  0 7 1
29.40  26  1 5 0
30.57  91  1 2 1
31.69  61  1 3 1
32.27  24  0 8 1
43.88  25  1 10 0
44.40  48  0 5 3
44.66  32  2 0 -1
46.19  24  1 6 2
52.62  24  0 14 0

Structure:
Lattice parameters (Å, degrees): 4.0578 24.3477 7.0390 90.00 106.67 90.00
Space group P2_1/m (No. 11)
Symmetry-distinct sites (fractional):
Nd (0.0292, 0.2500, 0.0580) x2
Nd (0.1365, 0.5361, 0.2731) x4
Nd (0.3171, 0.1756, 0.6343) x4
Nd (0.4104, 0.6092, 0.8201) x4
Ga (0.3023, 0.7500, 0.6062) x2
S (0.0472, 0.6416, 0.0944) x4
S (0.2261, 0.0710, 0.4524) x4
S (0.5000, 0.0000, 0.0000) x2